# Zr3UC4
Theoretical X-ray powder pattern, a wavelength of 1.5418 Å. Input: the GGA-PBE geometry in Alexandria.

Atomic structure:
a = 5.870 Å, b = 5.870 Å, c = 5.870 Å
α = 131.81°, β = 131.81°, γ = 70.53°
Atoms (fractional coordinates):
Zr  0.000  0.000  0.000
Zr  0.250  0.750  0.500
Zr  0.750  0.250  0.500
U  0.500  0.500  0.000
C  0.000  0.500  0.500
C  0.258  0.258  0.000
C  0.500  0.000  0.500
C  0.742  0.742  0.000

Main lines, sorted by position (2θ = 10–90°):
- 2θ 18.5, intensity 7.5
- 2θ 20.7, intensity 23.8
- 2θ 32.4, intensity 100.0
- 2θ 37.5, intensity 70.2
- 2θ 43.3, intensity 7.9
- 2θ 54.1, intensity 47.3
- 2θ 64.5, intensity 43.3
- 2θ 67.7, intensity 15.9
- 2θ 80.1, intensity 7.5
- 2θ 89.0, intensity 19.1

---

# V4C
Theoretical X-ray powder pattern, a wavelength of 1.5418 Å. Input: the GGA-PBE geometry in Alexandria.

Atomic structure:
a = 5.418 Å, b = 5.418 Å, c = 5.418 Å
α = 105.02°, β = 105.02°, γ = 118.81°
Atoms (fractional coordinates):
V  0.213  0.264  0.551
V  0.213  0.661  0.949
V  0.264  0.213  0.051
V  0.339  0.787  0.551
V  0.661  0.213  0.449
V  0.736  0.787  0.949
V  0.787  0.339  0.051
V  0.787  0.736  0.449
C  0.125  0.875  0.250
C  0.875  0.125  0.750

Main lines, sorted by position (2θ = 10–90°):
- 2θ 34.5, intensity 25.9
- 2θ 38.6, intensity 59.5
- 2θ 42.7, intensity 100.0
- 2θ 44.4, intensity 41.8
- 2θ 51.6, intensity 19.2
- 2θ 52.7, intensity 18.1
- 2θ 55.8, intensity 15.3
- 2θ 72.7, intensity 12.6
- 2θ 73.0, intensity 15.9
- 2θ 73.9, intensity 14.1

---

# YVC
Theoretical X-ray powder pattern, a wavelength of 1.5418 Å. Input: the GGA-PBE geometry in Alexandria.

Atomic structure:
a = 6.966 Å, b = 6.966 Å, c = 4.078 Å
α = 90.00°, β = 90.00°, γ = 150.56°
Atoms (fractional coordinates):
Y  0.169  0.831  0.750
Y  0.831  0.169  0.250
V  0.500  0.500  0.000
V  0.500  0.500  0.500
C  0.359  0.641  0.750
C  0.641  0.359  0.250

Main lines, sorted by position (2θ = 10–90°):
- 2θ 25.5, intensity 45.9
- 2θ 32.2, intensity 100.0
- 2θ 34.2, intensity 75.4
- 2θ 34.5, intensity 28.3
- 2θ 40.2, intensity 33.2
- 2θ 46.5, intensity 19.7
- 2θ 47.9, intensity 25.8
- 2θ 51.6, intensity 16.1
- 2θ 52.2, intensity 21.6
- 2θ 62.9, intensity 16.3

---

# V7ZnC2
Theoretical X-ray powder pattern, a wavelength of 1.5418 Å. Input: the GGA-PBE geometry in Alexandria.

Atomic structure:
a = 6.093 Å, b = 6.093 Å, c = 3.959 Å
α = 90.00°, β = 90.00°, γ = 116.78°
Atoms (fractional coordinates):
V  0.000  0.000  0.000
V  0.165  0.433  0.000
V  0.230  0.770  0.500
V  0.433  0.165  0.000
V  0.567  0.835  0.000
V  0.770  0.230  0.500
V  0.835  0.567  0.000
Zn  0.500  0.500  0.500
C  0.205  0.795  0.000
C  0.795  0.205  0.000

Main lines, sorted by position (2θ = 10–90°):
- 2θ 22.5, intensity 27.7
- 2θ 27.9, intensity 39.8
- 2θ 36.1, intensity 96.0
- 2θ 37.3, intensity 94.6
- 2θ 41.6, intensity 78.8
- 2θ 45.0, intensity 100.0
- 2θ 45.8, intensity 65.0
- 2θ 49.4, intensity 51.6
- 2θ 66.2, intensity 56.3
- 2θ 83.0, intensity 22.5

---

# V6ZnC
Theoretical X-ray powder pattern, a wavelength of 1.5418 Å. Input: the GGA-PBE geometry in Alexandria.

Atomic structure:
a = 4.504 Å, b = 4.890 Å, c = 5.005 Å
α = 98.33°, β = 108.55°, γ = 92.20°
Atoms (fractional coordinates):
V  0.056  0.299  0.135
V  0.213  0.856  0.437
V  0.412  0.411  0.731
V  0.588  0.589  0.269
V  0.787  0.144  0.563
V  0.944  0.701  0.865
Zn  0.500  0.000  0.000
C  0.000  0.500  0.500

Main lines, sorted by position (2θ = 10–90°):
- 2θ 40.0, intensity 53.0
- 2θ 40.4, intensity 100.0
- 2θ 41.4, intensity 44.7
- 2θ 43.2, intensity 47.9
- 2θ 44.0, intensity 44.8
- 2θ 53.7, intensity 18.8
- 2θ 62.4, intensity 14.8
- 2θ 64.4, intensity 13.0
- 2θ 70.8, intensity 8.4
- 2θ 76.8, intensity 12.6

---

# W2C3
Theoretical X-ray powder pattern, a wavelength of 1.5418 Å. Input: the GGA-PBE geometry in Alexandria.

Atomic structure:
a = 5.649 Å, b = 5.153 Å, c = 6.701 Å
α = 55.07°, β = 48.40°, γ = 76.53°
Atoms (fractional coordinates):
W  0.269  0.731  0.354
W  0.604  0.896  0.519
W  0.731  0.269  0.646
W  0.896  0.604  0.981
C  0.067  0.067  0.433
C  0.303  0.449  0.723
C  0.449  0.303  0.525
C  0.527  0.725  0.947
C  0.725  0.527  0.801
C  0.817  0.817  0.183

Main lines, sorted by position (2θ = 10–90°):
- 2θ 21.7, intensity 81.6
- 2θ 26.8, intensity 72.7
- 2θ 33.4, intensity 100.0
- 2θ 36.0, intensity 50.7
- 2θ 39.0, intensity 48.3
- 2θ 40.1, intensity 58.7
- 2θ 44.4, intensity 31.6
- 2θ 49.8, intensity 37.5
- 2θ 55.3, intensity 29.3
- 2θ 66.7, intensity 28.3

---

# W7C6
Theoretical X-ray powder pattern, a wavelength of 1.5418 Å. Input: the GGA-PBE geometry in Alexandria.

Atomic structure:
a = 7.607 Å, b = 7.607 Å, c = 7.607 Å
α = 42.03°, β = 42.03°, γ = 42.03°
Atoms (fractional coordinates):
W  0.000  0.000  0.000
W  0.076  0.076  0.567
W  0.076  0.567  0.076
W  0.433  0.924  0.924
W  0.567  0.076  0.076
W  0.924  0.433  0.924
W  0.924  0.924  0.433
C  0.166  0.166  0.166
C  0.318  0.318  0.318
C  0.388  0.388  0.388
C  0.612  0.612  0.612
C  0.682  0.682  0.682
C  0.834  0.834  0.834

Main lines, sorted by position (2θ = 10–90°):
- 2θ 19.3, intensity 100.0
- 2θ 25.7, intensity 45.7
- 2θ 38.3, intensity 50.8
- 2θ 39.1, intensity 64.7
- 2θ 42.2, intensity 35.1
- 2θ 44.1, intensity 43.4
- 2θ 49.3, intensity 62.3
- 2θ 51.3, intensity 18.3
- 2θ 52.4, intensity 19.3
- 2θ 68.8, intensity 24.5

---

# W3C5
Theoretical X-ray powder pattern, a wavelength of 1.5418 Å. Input: the GGA-PBE geometry in Alexandria.

Atomic structure:
a = 6.117 Å, b = 4.176 Å, c = 6.869 Å
α = 90.00°, β = 104.38°, γ = 90.00°
Atoms (fractional coordinates):
W  0.114  0.250  0.238
W  0.312  0.250  0.864
W  0.328  0.750  0.491
W  0.672  0.250  0.509
W  0.688  0.750  0.136
W  0.886  0.750  0.762
C  0.020  0.750  0.280
C  0.213  0.750  0.739
C  0.320  0.250  0.527
C  0.325  0.582  0.119
C  0.325  0.918  0.119
C  0.675  0.082  0.881
C  0.675  0.418  0.881
C  0.680  0.750  0.473
C  0.787  0.250  0.261
C  0.980  0.250  0.720

Main lines, sorted by position (2θ = 10–90°):
- 2θ 27.3, intensity 46.7
- 2θ 29.8, intensity 19.6
- 2θ 31.1, intensity 100.0
- 2θ 34.9, intensity 48.6
- 2θ 36.9, intensity 31.8
- 2θ 40.7, intensity 17.7
- 2θ 43.3, intensity 31.6
- 2θ 52.0, intensity 18.3
- 2θ 60.9, intensity 28.4
- 2θ 64.9, intensity 17.3

---

# Zr2WC2
Theoretical X-ray powder pattern, a wavelength of 1.5418 Å. Input: the GGA-PBE geometry in Alexandria.

Atomic structure:
a = 8.602 Å, b = 8.602 Å, c = 8.602 Å
α = 160.36°, β = 160.36°, γ = 27.91°
Atoms (fractional coordinates):
Zr  0.140  0.140  0.000
Zr  0.860  0.860  0.000
W  0.500  0.500  0.000
C  0.250  0.750  0.500
C  0.750  0.250  0.500

Main lines, sorted by position (2θ = 10–90°):
- 2θ 10.6, intensity 45.7
- 2θ 32.2, intensity 16.9
- 2θ 34.6, intensity 100.0
- 2θ 41.0, intensity 30.5
- 2θ 43.4, intensity 12.8
- 2θ 43.6, intensity 26.7
- 2θ 55.2, intensity 19.3
- 2θ 63.2, intensity 13.3
- 2θ 69.8, intensity 14.1
- 2θ 74.3, intensity 21.3